Simulated PXRD pattern
Compound: Li2MgSi
Radiation: a wavelength of 1.5418 Å
Structure: a cell relaxed with GGA-PBE
Intensities are scaled so that the largest is 100.

```
data_Li2MgSi
_space_group_name_H-M_alt 'F -4 3 m'
_space_group_IT_number 216
_space_group_name_Hall 'F -4 2 3'
_cell_length_a 6.3695
_cell_length_b 6.3695
_cell_length_c 6.3695
_cell_angle_alpha 90.00
_cell_angle_beta 90.00
_cell_angle_gamma 90.00
loop_
_atom_site_label
_atom_site_type_symbol
_atom_site_fract_x
_atom_site_fract_y
_atom_site_fract_z
Li1 Li 0.0000 0.0000 0.0000
Li2 Li 0.2500 0.2500 0.2500
Mg1 Mg 0.2500 0.2500 0.7500
Si1 Si 0.0000 0.0000 0.5000
```

Principal peaks in the range 2θ = 15–90°, sorted by position:
2θ 24.20, I 64, (1 1 1); 2θ 40.04, I 100, (2 2 0); 2θ 47.33, I 28, (3 1 1); 2θ 57.91, I 16, (4 0 0); 2θ 63.68, I 11, (3 3 1); 2θ 72.73, I 33, (4 2 2); 2θ 77.94, I 8, (5 1 1); 2θ 86.42, I 10, (4 4 0)